This entry pairs a crystal structure of Mn2FePt9 with its computed X-ray diffraction stick pattern. Radiation: Cu Kα, 1.54184 Å. Structure: a DFT-relaxed cell (PBE, Alexandria).
Intensities are scaled so that the largest is 100.

Structural model:
a = 3.927 Å, b = 3.927 Å, c = 11.784 Å
α = 90.00°, β = 90.00°, γ = 90.00°
Space group P4/mmm (No. 123)
Inequivalent atoms, fractional coordinates:
Mn 0.000 0.000 0.166
Fe 0.000 0.000 0.500
Pt 0.000 0.500 0.000
Pt 0.000 0.500 0.336
Pt 0.500 0.500 0.168
Pt 0.500 0.500 0.500

Top 7 peaks for 5° ≤ 2θ ≤ 70°, low angle first:
| hkl | two_theta | I (rel.) |
| --- | --- | --- |
| 1 0 0 | 22.64 | 14.0 |
| 1 1 0 | 32.23 | 11.8 |
| 1 1 3 | 39.75 | 100.0 |
| 2 0 0 | 46.23 | 48.9 |
| 2 1 0 | 52.07 | 6.6 |
| 2 1 3 | 57.48 | 5.0 |
| 2 2 0 | 67.45 | 31.8 |

This entry pairs a crystal structure of NdDy2Pd9 with its computed X-ray diffraction stick pattern. Radiation: Cu Kα, 1.54184 Å. Structure: a DFT-relaxed cell (PBE, Alexandria).
Intensities are scaled so that the largest is 100.

Structural model:
a = 4.156 Å, b = 4.156 Å, c = 12.416 Å
α = 90.00°, β = 90.00°, γ = 90.00°
Space group P4/mmm (No. 123)
Inequivalent atoms, fractional coordinates:
Nd 0.000 0.000 0.000
Dy 0.000 0.000 0.336
Pd 0.000 0.500 0.172
Pd 0.000 0.500 0.500
Pd 0.500 0.500 0.000
Pd 0.500 0.500 0.335

Top 8 peaks for 5° ≤ 2θ ≤ 70°, low angle first:
| hkl | two_theta | I (rel.) |
| --- | --- | --- |
| 0 0 3 | 21.41 | 2.8 |
| 1 1 0 | 30.46 | 2.4 |
| 1 1 3 | 37.54 | 100.0 |
| 2 0 0 | 43.55 | 32.9 |
| 0 0 6 | 43.75 | 16.0 |
| 2 0 3 | 49.03 | 0.9 |
| 2 2 0 | 63.29 | 10.7 |
| 2 0 6 | 63.44 | 20.9 |

This entry pairs a crystal structure of Dy8GeSe3S4 with its computed X-ray diffraction stick pattern. Radiation: Cu Kα, 1.54184 Å. Structure: a DFT-relaxed cell (PBE, Alexandria).
Intensities are scaled so that the largest is 100.

Structural model:
a = 8.0005 Å, b = 8.0005 Å, c = 19.6843 Å
α = 90.00°, β = 90.00°, γ = 120.00°
Space group R-3m (No. 166, hexagonal axes)
Inequivalent atoms, fractional coordinates:
Dy 0.0000 0.0000 0.2417
Dy 0.0100 0.5050 0.7545
Ge 0.0000 0.0000 0.0000
Se 0.0000 0.5000 0.0000
S 0.0000 0.0000 0.5000
S 0.0000 0.5000 0.5000

Top 8 peaks for 5° ≤ 2θ ≤ 70°, low angle first:
| hkl | two_theta | I (rel.) |
| --- | --- | --- |
| 0 0 6 | 27.18 | 10.6 |
| 2 0 2 | 27.29 | 33.1 |
| 0 2 4 | 31.58 | 100.0 |
| 2 0 8 | 45.20 | 35.1 |
| 2 2 0 | 45.34 | 36.7 |
| 0 4 2 | 53.69 | 15.4 |
| 4 0 4 | 56.31 | 18.9 |
| 0 4 8 | 65.95 | 11.2 |

This entry pairs a crystal structure of Na2CuAgBr5 with its computed X-ray diffraction stick pattern. Radiation: Cu Kα, 1.54184 Å. Structure: a DFT-relaxed cell (PBE, Alexandria).
Intensities are scaled so that the largest is 100.

Structural model:
a = 4.025 Å, b = 19.746 Å, c = 12.817 Å
α = 90.00°, β = 90.00°, γ = 90.00°
Space group Cmc2_1 (No. 36)
Inequivalent atoms, fractional coordinates:
Na 0.000 0.086 0.000
Na 0.000 0.116 0.685
Cu 0.000 0.428 0.782
Ag 0.000 0.218 0.409
Br 0.000 0.044 0.379
Br 0.000 0.288 0.054
Br 0.000 0.307 0.764
Br 0.000 0.361 0.358
Br 0.000 0.496 0.624

Top 8 peaks for 5° ≤ 2θ ≤ 70°, low angle first:
| hkl | two_theta | I (rel.) |
| --- | --- | --- |
| 0 2 1 | 11.31 | 31.0 |
| 0 0 2 | 13.82 | 35.9 |
| 0 6 1 | 27.99 | 76.6 |
| 1 1 3 | 30.86 | 100.0 |
| 1 5 2 | 34.77 | 46.5 |
| 2 0 0 | 45.05 | 29.1 |
| 1 7 4 | 48.59 | 35.0 |
| 2 6 1 | 53.87 | 26.4 |

This entry pairs a crystal structure of CsMg14Nb with its computed X-ray diffraction stick pattern. Radiation: Cu Kα, 1.54184 Å. Structure: a DFT-relaxed cell (PBE, Alexandria).
Intensities are scaled so that the largest is 100.

Structural model:
a = 6.5446 Å, b = 6.5446 Å, c = 10.5752 Å
α = 90.00°, β = 90.00°, γ = 120.00°
Space group P-6m2 (No. 187)
Inequivalent atoms, fractional coordinates:
Cs 0.0000 0.0000 0.0000
Mg 0.0111 0.5055 0.0000
Mg 0.1668 0.3336 0.2763
Mg 0.5048 0.0096 0.5000
Mg 0.6667 0.3333 0.2395
Nb 0.0000 0.0000 0.5000

Top 8 peaks for 5° ≤ 2θ ≤ 70°, low angle first:
| hkl | two_theta | I (rel.) |
| --- | --- | --- |
| 1 0 0 | 15.64 | 45.5 |
| 1 0 2 | 23.00 | 38.0 |
| 2 0 0 | 31.57 | 30.0 |
| 0 0 4 | 33.91 | 23.2 |
| 2 0 2 | 35.96 | 100.0 |
| 2 0 4 | 47.00 | 19.2 |
| 2 2 0 | 56.22 | 17.5 |
| 2 2 4 | 67.30 | 17.6 |

This entry pairs a crystal structure of Ag8SbTe6 with its computed X-ray diffraction stick pattern. Radiation: Cu Kα, 1.54184 Å. Structure: a DFT-relaxed cell (PBE, Alexandria).
Intensities are scaled so that the largest is 100.

Structural model:
a = 8.751 Å, b = 8.316 Å, c = 11.542 Å
α = 90.00°, β = 90.00°, γ = 90.00°
Space group Pmn2_1 (No. 31)
Inequivalent atoms, fractional coordinates:
Ag 0.000 0.089 0.000
Ag 0.000 0.258 0.425
Ag 0.220 0.599 0.808
Ag 0.221 0.056 0.200
Ag 0.227 0.644 0.081
Sb 0.000 0.758 0.405
Te 0.000 0.310 0.185
Te 0.000 0.529 0.585
Te 0.000 0.766 0.943
Te 0.000 0.996 0.574
Te 0.192 0.243 0.816

Top 8 peaks for 5° ≤ 2θ ≤ 70°, low angle first:
| hkl | two_theta | I (rel.) |
| --- | --- | --- |
| 2 0 2 | 25.54 | 100.0 |
| 0 2 2 | 26.42 | 53.6 |
| 0 1 4 | 32.84 | 35.8 |
| 0 3 1 | 33.29 | 47.2 |
| 2 2 3 | 37.92 | 35.2 |
| 2 3 1 | 39.26 | 46.3 |
| 4 0 0 | 41.27 | 42.4 |
| 2 2 4 | 43.42 | 69.7 |